Entry 1:
Computed XRD peak list
Compound: K4NaNb5O15
Radiation: λ = 1.5418 Å (Cu Kα)
Structure: a structure optimized by DFT (PBE)
Neutral-atom scattering factors, no anomalous dispersion.

Structure:
```
data_K4NaNb5O15
_chemical_formula_sum 'K8 Na2 Nb10 O30'
_cell_length_a 5.8046
_cell_length_b 4.0069
_cell_length_c 29.1986
_cell_angle_alpha 90.00
_cell_angle_beta 91.25
_cell_angle_gamma 90.00
_symmetry_space_group_name_H-M 'P 1 m 1'
_symmetry_Int_Tables_number 6
loop_
_symmetry_equiv_pos_as_xyz
'x,y,z'
'x,-y,z'
loop_
_atom_site_label
_atom_site_type_symbol
_atom_site_fract_x
_atom_site_fract_y
_atom_site_fract_z
K1 K 0.0000 0.0000 0.0000
K2 K 0.0002 0.0000 0.3999
K3 K 0.0116 0.0000 0.6009
K4 K 0.0151 0.0000 0.8013
K5 K 0.4948 0.0000 0.2995
K6 K 0.5062 0.0000 0.5004
K7 K 0.5137 0.0000 0.7015
K8 K 0.9896 0.0000 0.1991
Na1 Na 0.4597 0.0000 0.1071
Na2 Na 0.4726 0.0000 0.9085
Nb1 Nb 0.0053 0.5000 0.5033
Nb2 Nb 0.0123 0.5000 0.7042
Nb3 Nb 0.4882 0.5000 0.2016
Nb4 Nb 0.4963 0.5000 0.0033
Nb5 Nb 0.4992 0.5000 0.4028
Nb6 Nb 0.5104 0.5000 0.6038
Nb7 Nb 0.5112 0.5000 0.8050
Nb8 Nb 0.9852 0.5000 0.1018
Nb9 Nb 0.9934 0.5000 0.3023
Nb10 Nb 0.9977 0.5000 0.9032
O1 O 0.0038 0.0000 0.0948
O2 O 0.0080 0.0000 0.4950
O3 O 0.0183 0.0000 0.6961
O4 O 0.0191 0.0000 0.8965
O5 O 0.2429 0.5000 0.1448
O6 O 0.2457 0.5000 0.3450
O7 O 0.2525 0.5000 0.2446
O8 O 0.2545 0.5000 0.9471
O9 O 0.2574 0.5000 0.5461
O10 O 0.2604 0.5000 0.4455
O11 O 0.2644 0.5000 0.7478
O12 O 0.2696 0.5000 0.0475
O13 O 0.2727 0.5000 0.6466
O14 O 0.2832 0.5000 0.8490
O15 O 0.4942 0.0000 0.1922
O16 O 0.5018 0.0000 0.3945
O17 O 0.5046 0.0000 0.9939
O18 O 0.5134 0.0000 0.5955
O19 O 0.5171 0.0000 0.7967
O20 O 0.7423 0.5000 0.1430
O21 O 0.7433 0.5000 0.2441
O22 O 0.7516 0.5000 0.4455
O23 O 0.7544 0.5000 0.3448
O24 O 0.7538 0.5000 0.9438
O25 O 0.7623 0.5000 0.0438
O26 O 0.7640 0.5000 0.6464
O27 O 0.7661 0.5000 0.5458
O28 O 0.7731 0.5000 0.7462
O29 O 0.7763 0.5000 0.8455
O30 O 0.9968 0.0000 0.2939
```

Main lines, in order of rising 2θ (2θ = 10–80°):
2theta, I_rel, (hkl)
21.4, 54, 1 0 -5
21.8, 50, 1 0 5
22.2, 49, 0 1 0
30.6, 52, 0 0 10
30.8, 50, 2 0 0
31.0, 100, 1 1 -5
31.3, 96, 1 1 5
43.5, 41, 2 0 -10
44.5, 39, 2 0 10
45.3, 40, 0 2 0
64.6, 22, 2 2 -10
65.3, 22, 2 2 10

=====

Entry 2:
Computed XRD peak list
Compound: K2Na2Sm4Nb2O13
Radiation: λ = 1.5418 Å (Cu Kα)
Structure: a structure optimized by DFT (PBE)
Neutral-atom scattering factors, no anomalous dispersion.

Structure:
```
data_K2Na2Sm4Nb2O13
_chemical_formula_sum 'K8 Na8 Sm16 Nb8 O52'
_cell_length_a 24.5320
_cell_length_b 5.7075
_cell_length_c 11.3308
_cell_angle_alpha 90.00
_cell_angle_beta 116.25
_cell_angle_gamma 90.00
_symmetry_space_group_name_H-M 'C 1 2/c 1'
_symmetry_Int_Tables_number 15
loop_
_symmetry_equiv_pos_as_xyz
'x,y,z'
'-x,-y,-z'
'-x,y,-z+1/2'
'x,-y,z+1/2'
'x+1/2,y+1/2,z'
'-x+1/2,-y+1/2,-z'
'-x+1/2,y+1/2,-z+1/2'
'x+1/2,-y+1/2,z+1/2'
loop_
_atom_site_label
_atom_site_type_symbol
_atom_site_fract_x
_atom_site_fract_y
_atom_site_fract_z
K1 K 0.2489 0.0518 0.1318
Na1 Na 0.1592 0.4620 0.5234
Sm1 Sm 0.0630 0.0470 0.9494
Sm2 Sm 0.0626 0.4625 0.6727
Nb1 Nb 0.1506 0.0336 0.2818
O1 O 0.0000 0.2582 0.7500
O2 O 0.0010 0.2517 0.4771
O3 O 0.1008 0.2313 0.3404
O4 O 0.1291 0.1930 0.6369
O5 O 0.1308 0.2729 0.1380
O6 O 0.1342 0.2271 0.8765
O7 O 0.2349 0.0634 0.3744
```

Main lines, in order of rising 2θ (2θ = 10–80°):
2theta, I_rel, (hkl)
16.1, 14, 4 0 0
17.8, 15, 4 0 -2
25.1, 41, 1 1 2
25.4, 38, 5 1 -2
29.9, 100, 3 1 2
30.3, 93, 7 1 -2
31.3, 28, 0 2 0
31.6, 35, 4 0 -4
41.0, 16, 10 0 0
45.1, 43, 4 2 -4
45.8, 16, 8 2 0
54.9, 28, 1 1 -6

=====

Entry 3:
Computed XRD peak list
Compound: K5Na3Ta7NbO24
Radiation: λ = 1.5418 Å (Cu Kα)
Structure: a structure optimized by DFT (PBE)
Neutral-atom scattering factors, no anomalous dispersion.

Structure:
```
data_K5Na3Ta7NbO24
_chemical_formula_sum 'K10 Na6 Ta14 Nb2 O48'
_cell_length_a 11.3815
_cell_length_b 11.3704
_cell_length_c 8.0324
_cell_angle_alpha 90.00
_cell_angle_beta 90.06
_cell_angle_gamma 90.00
_symmetry_space_group_name_H-M 'C 1 m 1'
_symmetry_Int_Tables_number 8
loop_
_symmetry_equiv_pos_as_xyz
'x,y,z'
'x,-y,z'
'x+1/2,y+1/2,z'
'x+1/2,-y+1/2,z'
loop_
_atom_site_label
_atom_site_type_symbol
_atom_site_fract_x
_atom_site_fract_y
_atom_site_fract_z
K1 K 0.0000 0.0000 0.0000
K2 K 0.0001 0.0000 0.4989
K3 K 0.9995 0.5000 0.4993
K4 K 0.2497 0.2497 0.4990
Na1 Na 0.0095 0.5000 0.9931
Na2 Na 0.2588 0.2502 0.9938
Ta1 Ta 0.0022 0.2508 0.7500
Ta2 Ta 0.0033 0.2495 0.2461
Ta3 Ta 0.2512 0.5000 0.2459
Ta4 Ta 0.2517 0.5000 0.7492
Ta5 Ta 0.2525 0.0000 0.7468
Nb1 Nb 0.2556 0.0000 0.2422
O1 O 0.1203 0.1266 0.2498
O2 O 0.1197 0.3761 0.2476
O3 O 0.1203 0.3760 0.7578
O4 O 0.1219 0.1265 0.7567
O5 O 0.2439 0.5000 0.0017
O6 O 0.2453 0.5000 0.5025
O7 O 0.2464 0.0000 0.0017
O8 O 0.2460 0.0000 0.5049
O9 O 0.3693 0.3740 0.2490
O10 O 0.3698 0.3739 0.7556
O11 O 0.3711 0.1248 0.7574
O12 O 0.3708 0.1255 0.2498
O13 O 0.4928 0.2479 0.0022
O14 O 0.4962 0.2490 0.5031
```

Main lines, in order of rising 2θ (2θ = 10–80°):
2theta, I_rel, (hkl)
22.1, 79, 2 2 0
31.5, 100, 4 0 0
38.8, 8, 4 0 -2
45.1, 33, 4 4 0
50.8, 29, 4 4 2
50.8, 6, 2 2 4
56.0, 36, 6 2 2
65.7, 13, 0 8 0
65.7, 7, 4 4 4
70.2, 9, 8 0 2
70.3, 8, 6 2 4
74.6, 11, 8 4 0

=====

Repeat the first record exactly.
Computed XRD peak list
Compound: K4NaNb5O15
Radiation: λ = 1.5418 Å (Cu Kα)
Structure: a structure optimized by DFT (PBE)
Neutral-atom scattering factors, no anomalous dispersion.

Structure:
```
data_K4NaNb5O15
_chemical_formula_sum 'K8 Na2 Nb10 O30'
_cell_length_a 5.8046
_cell_length_b 4.0069
_cell_length_c 29.1986
_cell_angle_alpha 90.00
_cell_angle_beta 91.25
_cell_angle_gamma 90.00
_symmetry_space_group_name_H-M 'P 1 m 1'
_symmetry_Int_Tables_number 6
loop_
_symmetry_equiv_pos_as_xyz
'x,y,z'
'x,-y,z'
loop_
_atom_site_label
_atom_site_type_symbol
_atom_site_fract_x
_atom_site_fract_y
_atom_site_fract_z
K1 K 0.0000 0.0000 0.0000
K2 K 0.0002 0.0000 0.3999
K3 K 0.0116 0.0000 0.6009
K4 K 0.0151 0.0000 0.8013
K5 K 0.4948 0.0000 0.2995
K6 K 0.5062 0.0000 0.5004
K7 K 0.5137 0.0000 0.7015
K8 K 0.9896 0.0000 0.1991
Na1 Na 0.4597 0.0000 0.1071
Na2 Na 0.4726 0.0000 0.9085
Nb1 Nb 0.0053 0.5000 0.5033
Nb2 Nb 0.0123 0.5000 0.7042
Nb3 Nb 0.4882 0.5000 0.2016
Nb4 Nb 0.4963 0.5000 0.0033
Nb5 Nb 0.4992 0.5000 0.4028
Nb6 Nb 0.5104 0.5000 0.6038
Nb7 Nb 0.5112 0.5000 0.8050
Nb8 Nb 0.9852 0.5000 0.1018
Nb9 Nb 0.9934 0.5000 0.3023
Nb10 Nb 0.9977 0.5000 0.9032
O1 O 0.0038 0.0000 0.0948
O2 O 0.0080 0.0000 0.4950
O3 O 0.0183 0.0000 0.6961
O4 O 0.0191 0.0000 0.8965
O5 O 0.2429 0.5000 0.1448
O6 O 0.2457 0.5000 0.3450
O7 O 0.2525 0.5000 0.2446
O8 O 0.2545 0.5000 0.9471
O9 O 0.2574 0.5000 0.5461
O10 O 0.2604 0.5000 0.4455
O11 O 0.2644 0.5000 0.7478
O12 O 0.2696 0.5000 0.0475
O13 O 0.2727 0.5000 0.6466
O14 O 0.2832 0.5000 0.8490
O15 O 0.4942 0.0000 0.1922
O16 O 0.5018 0.0000 0.3945
O17 O 0.5046 0.0000 0.9939
O18 O 0.5134 0.0000 0.5955
O19 O 0.5171 0.0000 0.7967
O20 O 0.7423 0.5000 0.1430
O21 O 0.7433 0.5000 0.2441
O22 O 0.7516 0.5000 0.4455
O23 O 0.7544 0.5000 0.3448
O24 O 0.7538 0.5000 0.9438
O25 O 0.7623 0.5000 0.0438
O26 O 0.7640 0.5000 0.6464
O27 O 0.7661 0.5000 0.5458
O28 O 0.7731 0.5000 0.7462
O29 O 0.7763 0.5000 0.8455
O30 O 0.9968 0.0000 0.2939
```

Main lines, in order of rising 2θ (2θ = 10–80°):
2theta, I_rel, (hkl)
21.4, 54, 1 0 -5
21.8, 50, 1 0 5
22.2, 49, 0 1 0
30.6, 52, 0 0 10
30.8, 50, 2 0 0
31.0, 100, 1 1 -5
31.3, 96, 1 1 5
43.5, 41, 2 0 -10
44.5, 39, 2 0 10
45.3, 40, 0 2 0
64.6, 22, 2 2 -10
65.3, 22, 2 2 10